No. 1
Calculated powder diffractogram of BMo2PbO8 for Cu Kα, 1.54184 Å, from a structure optimized by DFT (PBE+U).

Principal peaks in the range 10 to 90 degrees two-theta, in order of falling intensity:
2θ 21.65, rel. 100; 2θ 11.12, rel. 71; 2θ 21.06, rel. 56; 2θ 26.38, rel. 46; 2θ 30.06, rel. 41; 2θ 33.96, rel. 37; 2θ 27.57, rel. 36; 2θ 38.88, rel. 23; 2θ 35.95, rel. 22; 2θ 51.71, rel. 21

Cell and atoms:
```
data_BMo2PbO8
_cell_length_a 8.891
_cell_length_b 6.470
_cell_length_c 8.156
_cell_angle_alpha 90.00
_cell_angle_beta 102.71
_cell_angle_gamma 90.00
_symmetry_space_group_name_H-M 'C 1 2/m 1'
_symmetry_Int_Tables_number 12
loop_
_symmetry_equiv_pos_as_xyz
'x,y,z'
'-x,-y,-z'
'-x,y,-z'
'x,-y,z'
'x+1/2,y+1/2,z'
'-x+1/2,-y+1/2,-z'
'-x+1/2,y+1/2,-z'
'x+1/2,-y+1/2,z'
loop_
_atom_site_label
_atom_site_type_symbol
_atom_site_fract_x
_atom_site_fract_y
_atom_site_fract_z
B1 B 0.000 0.000 0.000
Mo1 Mo 0.166 0.500 0.742
Pb1 Pb 0.000 0.000 0.500
O1 O 0.058 0.268 0.741
O2 O 0.141 0.000 0.072
O3 O 0.236 0.500 0.551
```



No. 2
Calculated powder diffractogram of PrB4Mo3O12 for Cu Kα, 1.54184 Å, from a structure optimized by DFT (PBE+U).

Principal peaks in the range 10 to 90 degrees two-theta, in order of falling intensity:
2θ 30.10, rel. 100; 2θ 23.32, rel. 88; 2θ 49.56, rel. 29; 2θ 36.08, rel. 25; 2θ 43.84, rel. 24; 2θ 49.27, rel. 23; 2θ 29.50, rel. 21; 2θ 17.82, rel. 17; 2θ 43.40, rel. 16; 2θ 47.67, rel. 10

Cell and atoms:
```
data_PrB4Mo3O12
_cell_length_a 9.9573
_cell_length_b 9.9573
_cell_length_c 8.1898
_cell_angle_alpha 90.00
_cell_angle_beta 90.00
_cell_angle_gamma 120.00
_symmetry_space_group_name_H-M 'R 3 2'
_symmetry_Int_Tables_number 155
_symmetry_space_group_name_Hall 'R 3 2"'
loop_
_atom_site_label
_atom_site_type_symbol
_atom_site_fract_x
_atom_site_fract_y
_atom_site_fract_z
Pr1 Pr 0.0000 0.0000 0.0000
B1 B 0.0000 0.0000 0.5000
B2 B 0.0000 0.4492 0.5000
Mo1 Mo 0.0000 0.5487 0.0000
O1 O 0.0000 0.5893 0.5000
O2 O 0.0000 0.8610 0.5000
O3 O 0.0181 0.2096 0.1765
```



Please write out number 2 again, unchanged.
Calculated powder diffractogram of PrB4Mo3O12 for Cu Kα, 1.54184 Å, from a structure optimized by DFT (PBE+U).

Principal peaks in the range 10 to 90 degrees two-theta, in order of falling intensity:
2θ 30.10, rel. 100; 2θ 23.32, rel. 88; 2θ 49.56, rel. 29; 2θ 36.08, rel. 25; 2θ 43.84, rel. 24; 2θ 49.27, rel. 23; 2θ 29.50, rel. 21; 2θ 17.82, rel. 17; 2θ 43.40, rel. 16; 2θ 47.67, rel. 10

Cell and atoms:
```
data_PrB4Mo3O12
_cell_length_a 9.9573
_cell_length_b 9.9573
_cell_length_c 8.1898
_cell_angle_alpha 90.00
_cell_angle_beta 90.00
_cell_angle_gamma 120.00
_symmetry_space_group_name_H-M 'R 3 2'
_symmetry_Int_Tables_number 155
_symmetry_space_group_name_Hall 'R 3 2"'
loop_
_atom_site_label
_atom_site_type_symbol
_atom_site_fract_x
_atom_site_fract_y
_atom_site_fract_z
Pr1 Pr 0.0000 0.0000 0.0000
B1 B 0.0000 0.0000 0.5000
B2 B 0.0000 0.4492 0.5000
Mo1 Mo 0.0000 0.5487 0.0000
O1 O 0.0000 0.5893 0.5000
O2 O 0.0000 0.8610 0.5000
O3 O 0.0181 0.2096 0.1765
```



Please write out number 1 again, unchanged.
Calculated powder diffractogram of BMo2PbO8 for Cu Kα, 1.54184 Å, from a structure optimized by DFT (PBE+U).

Principal peaks in the range 10 to 90 degrees two-theta, in order of falling intensity:
2θ 21.65, rel. 100; 2θ 11.12, rel. 71; 2θ 21.06, rel. 56; 2θ 26.38, rel. 46; 2θ 30.06, rel. 41; 2θ 33.96, rel. 37; 2θ 27.57, rel. 36; 2θ 38.88, rel. 23; 2θ 35.95, rel. 22; 2θ 51.71, rel. 21

Cell and atoms:
```
data_BMo2PbO8
_cell_length_a 8.891
_cell_length_b 6.470
_cell_length_c 8.156
_cell_angle_alpha 90.00
_cell_angle_beta 102.71
_cell_angle_gamma 90.00
_symmetry_space_group_name_H-M 'C 1 2/m 1'
_symmetry_Int_Tables_number 12
loop_
_symmetry_equiv_pos_as_xyz
'x,y,z'
'-x,-y,-z'
'-x,y,-z'
'x,-y,z'
'x+1/2,y+1/2,z'
'-x+1/2,-y+1/2,-z'
'-x+1/2,y+1/2,-z'
'x+1/2,-y+1/2,z'
loop_
_atom_site_label
_atom_site_type_symbol
_atom_site_fract_x
_atom_site_fract_y
_atom_site_fract_z
B1 B 0.000 0.000 0.000
Mo1 Mo 0.166 0.500 0.742
Pb1 Pb 0.000 0.000 0.500
O1 O 0.058 0.268 0.741
O2 O 0.141 0.000 0.072
O3 O 0.236 0.500 0.551
```